Simulated XRD peak list
Compound: Ba3ZnGa2Ag6
Radiation: CuKα
Structure: a structure optimized by DFT (GGA-PBE)

Cell and atoms:
a b c (Å): 6.8581 6.8581 8.4935
angles (deg): 90.00 90.00 120.00
Space group P-3m1 (No. 164)
One atom of each set of equivalent atoms:
1 Ba 0.0000 0.0000 0.0000 x1
2 Ba 0.3333 0.6667 0.7375 x2
3 Zn 0.0000 0.0000 0.5000 x1
4 Ga 0.3333 0.6667 0.1249 x2
5 Ag 0.1925 0.3850 0.3683 x6

Peak list (10 most intense, 2θ from 5° to 70°, low angle first)
h k l	two_theta	intensity
0 0 1	10.42	560
1 0 2	25.79	536
1 1 0	25.98	412
1 1 1	28.06	238
0 2 1	31.93	811
0 1 3	35.11	454
2 0 2	36.94	1000
1 2 2	45.72	197
1 2 3	51.99	280
2 2 0	53.44	334